Theoretical PXRD pattern
Compound: PrNi3Ir2
Radiation: CuKα
Structure: a cell relaxed with PBE

Cell and atoms:
```
PrNi3Ir2
1.0
4.725 -4.124 0.000
4.725 4.124 0.000
0.000 0.000 5.121
Pr Ni Ir
2 6 4
Cartesian
4.725 2.503 3.841
4.725 -2.503 1.280
2.936 2.179 1.280
6.514 2.179 1.280
4.725 0.525 1.280
4.725 -0.525 3.841
2.936 -2.179 3.841
6.514 -2.179 3.841
2.627 0.000 0.000
2.627 0.000 2.561
6.823 0.000 0.000
6.823 0.000 2.561
```

Principal peaks in the range 10° ≤ 2θ ≤ 90°, in order of falling intensity:
2θ (°)	d (Å)	I/Imax
41.5	2.175	100
28.7	3.107	87
40.1	2.251	74
45.9	1.976	67
18.8	4.725	66
38.1	2.363	51
35.2	2.551	50
43.9	2.062	37
48.1	1.890	34
57.6	1.600	31